No. 1
Starting from a DFT-relaxed cell (PBE, the Materials Project), the powder diffractogram of K2OsCl4O2 was simulated for λ = 1.5418 Å (Cu Kα).

Most intense lines, 15 to 90 degrees two-theta, by intensity:
2θ 15.88, 5.582 Å, intensity 100
2θ 26.76, 3.332 Å, intensity 39
2θ 29.45, 3.033 Å, intensity 35
2θ 35.12, 2.555 Å, intensity 31
2θ 44.70, 2.027 Å, intensity 19
2θ 17.35, 5.110 Å, intensity 17

Atomic structure:
Unit cell a=6.7393 b=6.7393 c=6.7393 alpha=115.16 beta=115.16 gamma=98.61
Element x y z (fractional)
K 0.2500 0.7500 0.5000
K 0.7500 0.2500 0.5000
Os 0.0000 0.0000 0.0000
Cl 0.2365 0.2365 0.4730
Cl 0.2365 0.7635 0.0000
Cl 0.7635 0.2365 0.0000
Cl 0.7635 0.7635 0.5270
O 0.1998 0.1998 0.0000
O 0.8002 0.8002 0.0000

***

No. 2
Starting from a DFT-relaxed cell (PBE, the Materials Project), the powder diffractogram of K4Re2Cl10O was simulated for λ = 1.5418 Å (Cu Kα).

Most intense lines, 15 to 90 degrees two-theta, by intensity:
2θ 35.39, 2.537 Å, intensity 100
2θ 26.54, 3.359 Å, intensity 83
2θ 28.26, 3.158 Å, intensity 79
2θ 17.48, 5.073 Å, intensity 61
2θ 27.82, 3.207 Å, intensity 55
2θ 37.62, 2.391 Å, intensity 39

Atomic structure:
Unit cell a=10.2996 b=10.2996 c=10.2996 alpha=139.24 beta=139.24 gamma=59.02
Element x y z (fractional)
K 0.0000 0.5000 0.5000
K 0.2500 0.7500 0.5000
K 0.5000 0.0000 0.5000
K 0.7500 0.2500 0.5000
Re 0.1036 0.1036 0.0000
Re 0.8964 0.8964 0.0000
Cl 0.1247 0.1247 0.4735
Cl 0.1247 0.6512 0.0000
Cl 0.2385 0.2385 0.0000
Cl 0.3488 0.3488 0.4735
Cl 0.3488 0.8753 0.0000
Cl 0.6512 0.1247 0.0000
Cl 0.6512 0.6512 0.5265
Cl 0.7615 0.7615 0.0000
Cl 0.8753 0.3488 0.0000
Cl 0.8753 0.8753 0.5265
O 0.0000 0.0000 0.0000